# Ac2PmDySe5
Computed powder X-ray diffraction pattern, Cu Kα. Input: the PBE geometry in Alexandria.

Main lines, in order of falling intensity (2θ = 5–70°):
- d 3.645, 2θ 24.42, rel. 100.0
- d 2.577, 2θ 34.81, rel. 77.6
- d 3.768, 2θ 23.61, rel. 64.4
- d 1.884, 2θ 48.31, rel. 42.0
- d 11.044, 2θ 8.01, rel. 34.1
- d 2.590, 2θ 34.63, rel. 32.1
- d 2.761, 2θ 32.43, rel. 32.1
- d 2.201, 2θ 41.01, rel. 29.8
- d 2.127, 2θ 42.50, rel. 28.8
- d 2.996, 2θ 29.83, rel. 27.9

```
data_Ac2PmDySe5
_chemical_formula_sum 'Ac2 Pm1 Dy1 Se5'
_cell_length_a 5.1541
_cell_length_b 5.1541
_cell_length_c 11.0439
_cell_angle_alpha 90.00
_cell_angle_beta 90.00
_cell_angle_gamma 90.00
_symmetry_space_group_name_H-M 'P 4/m m m'
_symmetry_Int_Tables_number 123
_symmetry_space_group_name_Hall '-P 4 2'
loop_
_atom_site_label
_atom_site_type_symbol
_atom_site_fract_x
_atom_site_fract_y
_atom_site_fract_z
Ac1 Ac 0.0000 0.0000 0.2106
Pm1 Pm 0.5000 0.5000 0.5000
Dy1 Dy 0.5000 0.5000 0.0000
Se1 Se 0.0000 0.0000 0.5000
Se2 Se 0.0000 0.5000 0.0000
Se3 Se 0.5000 0.5000 0.2522
```

***

# PrHg7
Computed powder X-ray diffraction pattern, Cu Kα. Input: the PBE geometry in Alexandria.

Main lines, in order of falling intensity (2θ = 5–70°):
- d 2.711, 2θ 33.04, rel. 100.0
- d 2.380, 2θ 37.80, rel. 35.0
- d 1.430, 2θ 65.25, rel. 28.9
- d 1.649, 2θ 55.73, rel. 23.0
- d 2.288, 2θ 39.38, rel. 15.7
- d 1.389, 2θ 67.41, rel. 13.0
- d 1.683, 2θ 54.53, rel. 12.3
- d 1.356, 2θ 69.31, rel. 12.1
- d 9.152, 2θ 9.66, rel. 1.0

```
data_PrHg7
_chemical_formula_sum 'Pr2 Hg14'
_cell_length_a 4.7601
_cell_length_b 4.7601
_cell_length_c 18.3035
_cell_angle_alpha 90.00
_cell_angle_beta 90.00
_cell_angle_gamma 90.00
_symmetry_space_group_name_H-M 'I 4/m m m'
_symmetry_Int_Tables_number 139
_symmetry_space_group_name_Hall '-I 4 2'
loop_
_atom_site_label
_atom_site_type_symbol
_atom_site_fract_x
_atom_site_fract_y
_atom_site_fract_z
Pr1 Pr 0.0000 0.0000 0.0000
Hg1 Hg 0.0000 0.0000 0.2499
Hg2 Hg 0.0000 0.0000 0.5000
Hg3 Hg 0.0000 0.5000 0.1271
```

***

# Pm2NdErS6
Computed powder X-ray diffraction pattern, Cu Kα. Input: the PBE geometry in Alexandria.

Main lines, in order of falling intensity (2θ = 5–70°):
- d 3.724, 2θ 23.90, rel. 100.0
- d 3.541, 2θ 25.15, rel. 97.7
- d 2.343, 2θ 38.42, rel. 74.4
- d 2.566, 2θ 34.97, rel. 49.8
- d 2.078, 2θ 43.56, rel. 49.8
- d 2.044, 2θ 44.31, rel. 49.1
- d 5.132, 2θ 17.28, rel. 37.3
- d 1.599, 2θ 57.64, rel. 28.1
- d 1.793, 2θ 50.92, rel. 24.6
- d 1.458, 2θ 63.86, rel. 23.6

```
data_Pm2NdErS6
_chemical_formula_sum 'Pm6 Nd3 Er3 S18'
_cell_length_a 7.0813
_cell_length_b 7.0813
_cell_length_c 18.7481
_cell_angle_alpha 90.00
_cell_angle_beta 90.00
_cell_angle_gamma 120.00
_symmetry_space_group_name_H-M 'R 3'
_symmetry_Int_Tables_number 146
_symmetry_space_group_name_Hall 'R 3'
loop_
_atom_site_label
_atom_site_type_symbol
_atom_site_fract_x
_atom_site_fract_y
_atom_site_fract_z
Pm1 Pm 0.0000 0.0000 0.0000
Pm2 Pm 0.0000 0.0000 0.4968
Nd1 Nd 0.0000 0.0000 0.2058
Er1 Er 0.0000 0.0000 0.7011
S1 S 0.0000 0.7083 0.6035
S2 S 0.0380 0.3559 0.7688
```

***

# KSrCa
Computed powder X-ray diffraction pattern, Cu Kα. Input: the PBE geometry in Alexandria.

Main lines, in order of falling intensity (2θ = 5–70°):
- d 3.500, 2θ 25.45, rel. 100.0
- d 3.437, 2θ 25.92, rel. 96.1
- d 2.978, 2θ 30.00, rel. 64.8
- d 2.133, 2θ 42.37, rel. 59.6
- d 3.055, 2θ 29.23, rel. 35.0
- d 1.814, 2θ 50.31, rel. 27.5
- d 1.787, 2θ 51.11, rel. 26.8
- d 5.515, 2θ 16.07, rel. 19.2
- d 6.405, 2θ 13.83, rel. 15.0
- d 1.838, 2θ 49.59, rel. 14.7

```
data_KSrCa
_chemical_formula_sum 'K2 Sr2 Ca2'
_cell_length_a 4.1569
_cell_length_b 6.1106
_cell_length_c 12.8095
_cell_angle_alpha 90.00
_cell_angle_beta 90.00
_cell_angle_gamma 90.00
_symmetry_space_group_name_H-M 'I m m 2'
_symmetry_Int_Tables_number 44
loop_
_symmetry_equiv_pos_as_xyz
'x,y,z'
'-x,-y,z'
'-x,y,z'
'x,-y,z'
'x+1/2,y+1/2,z+1/2'
'-x+1/2,-y+1/2,z+1/2'
'-x+1/2,y+1/2,z+1/2'
'x+1/2,-y+1/2,z+1/2'
loop_
_atom_site_label
_atom_site_type_symbol
_atom_site_fract_x
_atom_site_fract_y
_atom_site_fract_z
K1 K 0.0000 0.0000 0.0000
Sr1 Sr 0.0000 0.0000 0.3252
Ca1 Ca 0.0000 0.0000 0.6690
```

***

# Tm3CdPd5
Computed powder X-ray diffraction pattern, Cu Kα. Input: the PBE geometry in Alexandria.

Main lines, in order of falling intensity (2θ = 5–70°):
- d 2.417, 2θ 37.19, rel. 100.0
- d 2.370, 2θ 37.96, rel. 86.2
- d 1.387, 2θ 67.56, rel. 28.5
- d 1.692, 2θ 54.19, rel. 27.0
- d 2.474, 2θ 36.31, rel. 14.9
- d 1.850, 2θ 49.24, rel. 13.9
- d 1.396, 2θ 67.06, rel. 13.3
- d 2.876, 2θ 31.10, rel. 11.2
- d 3.385, 2θ 26.33, rel. 8.5
- d 1.899, 2θ 47.91, rel. 8.1

```
data_Tm3CdPd5
_chemical_formula_sum 'Tm6 Cd2 Pd10'
_cell_length_a 8.3740
_cell_length_b 8.3740
_cell_length_c 5.7512
_cell_angle_alpha 90.00
_cell_angle_beta 90.00
_cell_angle_gamma 120.00
_symmetry_space_group_name_H-M 'P 63/m c m'
_symmetry_Int_Tables_number 193
_symmetry_space_group_name_Hall '-P 6c 2'
loop_
_atom_site_label
_atom_site_type_symbol
_atom_site_fract_x
_atom_site_fract_y
_atom_site_fract_z
Tm1 Tm 0.0000 0.3629 0.2500
Cd1 Cd 0.0000 0.0000 0.0000
Pd1 Pd 0.0000 0.3091 0.7500
Pd2 Pd 0.3333 0.6667 0.0000
```

***

# MnFe5
Computed powder X-ray diffraction pattern, Cu Kα. Input: the PBE geometry in Alexandria.

Main lines, in order of falling intensity (2θ = 5–70°):
- d 1.877, 2θ 48.50, rel. 100.0
- d 1.888, 2θ 48.19, rel. 52.9
- d 1.970, 2θ 46.08, rel. 39.7
- d 2.135, 2θ 42.33, rel. 26.8
- d 1.448, 2θ 64.35, rel. 13.8
- d 2.152, 2θ 41.99, rel. 12.3
- d 1.453, 2θ 64.09, rel. 6.2

```
data_MnFe5
_chemical_formula_sum 'Mn2 Fe10'
_cell_length_a 3.9398
_cell_length_b 2.4591
_cell_length_c 12.9095
_cell_angle_alpha 90.00
_cell_angle_beta 90.00
_cell_angle_gamma 90.00
_symmetry_space_group_name_H-M 'A m m 2'
_symmetry_Int_Tables_number 38
loop_
_symmetry_equiv_pos_as_xyz
'x,y,z'
'-x,-y,z'
'-x,y,z'
'x,-y,z'
'x,y+1/2,z+1/2'
'-x,-y+1/2,z+1/2'
'-x,y+1/2,z+1/2'
'x,-y+1/2,z+1/2'
loop_
_atom_site_label
_atom_site_type_symbol
_atom_site_fract_x
_atom_site_fract_y
_atom_site_fract_z
Mn1 Mn 0.0000 0.0000 0.0000
Fe1 Fe 0.0000 0.0000 0.3322
Fe2 Fe 0.0000 0.0000 0.6665
Fe3 Fe 0.5000 0.0000 0.1099
Fe4 Fe 0.5000 0.0000 0.4420
Fe5 Fe 0.5000 0.0000 0.7765
```

***

- Number 6 is which compound?
  MnFe5